The following is a theoretical powder diffractogram of Nd3CdAgHg2Pt2. It was derived from a cell relaxed with PBE, using Cu Kα.
Peak positions follow from Bragg's law for the DFT cell and can differ from measured ones.

Principal peaks in the range 2θ from 10° to 90°, sorted by position:
- 2θ = 32.1°, intensity 95
- 2θ = 32.2°, intensity 72
- 2θ = 34.5°, intensity 66
- 2θ = 34.7°, intensity 100
- 2θ = 34.8°, intensity 82
- 2θ = 39.5°, intensity 58
- 2θ = 41.7°, intensity 35
- 2θ = 46.3°, intensity 43
- 2θ = 59.0°, intensity 29
- 2θ = 62.4°, intensity 30

Crystal structure
```
data_Nd3CdAgHg2Pt2
_chemical_formula_sum 'Nd3 Cd1 Ag1 Hg2 Pt2'
_space_group_name_H-M_alt 'P 1'
_space_group_IT_number 1
_cell_length_a 3.925
_cell_length_b 7.944
_cell_length_c 7.944
_cell_angle_alpha 120.41
_cell_angle_beta 90.00
_cell_angle_gamma 90.00
loop_
_space_group_symop_operation_xyz
'x,y,z'
loop_
_atom_site_label
_atom_site_type_symbol
_atom_site_fract_x
_atom_site_fract_y
_atom_site_fract_z
_atom_site_occupancy
Nd1 Nd 0.000 0.000 0.000 1
Nd2 Nd 0.000 0.404 0.819 1
Nd3 Nd 0.000 0.819 0.404 1
Cd1 Cd 0.500 0.668 0.668 1
Ag1 Ag 0.000 0.412 0.412 1
Hg1 Hg 0.500 0.145 0.409 1
Hg2 Hg 0.500 0.409 0.145 1
Pt1 Pt 0.500 0.066 0.738 1
Pt2 Pt 0.500 0.738 0.066 1
```

***

The following is a theoretical powder diffractogram of Tb2Ni5C3. It was derived from a cell relaxed with PBE, using Cu Kα.
Peak positions follow from Bragg's law for the DFT cell and can differ from measured ones.

Principal peaks in the range 2θ from 10° to 90°, sorted by position:
- 2θ = 24.2°, intensity 28
- 2θ = 33.7°, intensity 100
- 2θ = 34.4°, intensity 12
- 2θ = 38.8°, intensity 16
- 2θ = 39.4°, intensity 10
- 2θ = 41.9°, intensity 49
- 2θ = 45.4°, intensity 27
- 2θ = 47.4°, intensity 20
- 2θ = 67.7°, intensity 15
- 2θ = 73.2°, intensity 12

Crystal structure
```
data_Tb2Ni5C3
_chemical_formula_sum 'Tb4 Ni10 C6'
_space_group_name_H-M_alt 'P 1'
_space_group_IT_number 1
_cell_length_a 8.237
_cell_length_b 8.237
_cell_length_c 3.836
_cell_angle_alpha 90.00
_cell_angle_beta 90.00
_cell_angle_gamma 90.00
loop_
_space_group_symop_operation_xyz
'x,y,z'
loop_
_atom_site_label
_atom_site_type_symbol
_atom_site_fract_x
_atom_site_fract_y
_atom_site_fract_z
_atom_site_occupancy
Tb1 Tb 0.157 0.343 0.000 1
Tb2 Tb 0.343 0.843 0.000 1
Tb3 Tb 0.657 0.157 0.000 1
Tb4 Tb 0.843 0.657 0.000 1
Ni1 Ni 0.000 0.000 0.000 1
Ni2 Ni 0.078 0.788 0.500 1
Ni3 Ni 0.212 0.078 0.500 1
Ni4 Ni 0.288 0.578 0.500 1
Ni5 Ni 0.422 0.288 0.500 1
Ni6 Ni 0.500 0.500 0.000 1
Ni7 Ni 0.578 0.712 0.500 1
Ni8 Ni 0.712 0.422 0.500 1
Ni9 Ni 0.788 0.922 0.500 1
Ni10 Ni 0.922 0.212 0.500 1
C1 C 0.000 0.000 0.500 1
C2 C 0.059 0.559 0.500 1
C3 C 0.441 0.059 0.500 1
C4 C 0.500 0.500 0.500 1
C5 C 0.559 0.941 0.500 1
C6 C 0.941 0.441 0.500 1
```

***

The following is a theoretical powder diffractogram of Au6SCl. It was derived from a cell relaxed with PBE, using Cu Kα.
Peak positions follow from Bragg's law for the DFT cell and can differ from measured ones.

Principal peaks in the range 2θ from 10° to 90°, sorted by position:
- 2θ = 16.8°, intensity 22
- 2θ = 19.4°, intensity 48
- 2θ = 34.0°, intensity 100
- 2θ = 39.4°, intensity 54
- 2θ = 43.1°, intensity 25
- 2θ = 52.0°, intensity 34
- 2θ = 57.0°, intensity 28
- 2θ = 68.0°, intensity 24
- 2θ = 74.1°, intensity 18
- 2θ = 80.8°, intensity 20

Crystal structure
```
data_Au6SCl
_chemical_formula_sum 'Au6 S1 Cl1'
_space_group_name_H-M_alt 'P 1'
_space_group_IT_number 1
_cell_length_a 6.463
_cell_length_b 6.463
_cell_length_c 6.463
_cell_angle_alpha 60.00
_cell_angle_beta 60.00
_cell_angle_gamma 60.00
loop_
_space_group_symop_operation_xyz
'x,y,z'
loop_
_atom_site_label
_atom_site_type_symbol
_atom_site_fract_x
_atom_site_fract_y
_atom_site_fract_z
_atom_site_occupancy
Au1 Au 0.216 0.216 0.784 1
Au2 Au 0.216 0.784 0.216 1
Au3 Au 0.216 0.784 0.784 1
Au4 Au 0.784 0.216 0.216 1
Au5 Au 0.784 0.216 0.784 1
Au6 Au 0.784 0.784 0.216 1
S1 S 0.750 0.750 0.750 1
Cl1 Cl 0.500 0.500 0.500 1
```

***

The following is a theoretical powder diffractogram of LaGaCuNiSn. It was derived from a cell relaxed with PBE, using Cu Kα.
Peak positions follow from Bragg's law for the DFT cell and can differ from measured ones.

Principal peaks in the range 2θ from 10° to 90°, sorted by position:
- 2θ = 33.5°, intensity 42
- 2θ = 33.9°, intensity 100
- 2θ = 41.1°, intensity 56
- 2θ = 46.3°, intensity 14
- 2θ = 49.7°, intensity 16
- 2θ = 54.0°, intensity 21
- 2θ = 59.5°, intensity 18
- 2θ = 62.8°, intensity 11
- 2θ = 66.4°, intensity 13
- 2θ = 70.3°, intensity 24

Crystal structure
```
data_LaGaCuNiSn
_chemical_formula_sum 'La2 Ga2 Cu2 Ni2 Sn2'
_space_group_name_H-M_alt 'P 1'
_space_group_IT_number 1
_cell_length_a 4.394
_cell_length_b 4.394
_cell_length_c 10.098
_cell_angle_alpha 90.00
_cell_angle_beta 90.00
_cell_angle_gamma 90.00
loop_
_space_group_symop_operation_xyz
'x,y,z'
loop_
_atom_site_label
_atom_site_type_symbol
_atom_site_fract_x
_atom_site_fract_y
_atom_site_fract_z
_atom_site_occupancy
La1 La 0.250 0.250 0.235 1
La2 La 0.750 0.750 0.765 1
Ga1 Ga 0.250 0.250 0.876 1
Ga2 Ga 0.750 0.750 0.124 1
Cu1 Cu 0.250 0.750 0.000 1
Cu2 Cu 0.750 0.250 0.000 1
Ni1 Ni 0.250 0.250 0.640 1
Ni2 Ni 0.750 0.750 0.360 1
Sn1 Sn 0.250 0.750 0.500 1
Sn2 Sn 0.750 0.250 0.500 1
```

***

The following is a theoretical powder diffractogram of Cu4Ag. It was derived from a cell relaxed with PBE, using Cu Kα.
Peak positions follow from Bragg's law for the DFT cell and can differ from measured ones.

Principal peaks in the range 2θ from 10° to 90°, sorted by position:
- 2θ = 41.6°, intensity 100
- 2θ = 41.9°, intensity 49
- 2θ = 42.2°, intensity 48
- 2θ = 48.2°, intensity 65
- 2θ = 49.8°, intensity 28
- 2θ = 71.6°, intensity 17
- 2θ = 72.0°, intensity 17
- 2θ = 84.9°, intensity 11
- 2θ = 85.1°, intensity 11
- 2θ = 87.8°, intensity 14

Crystal structure
```
data_Cu4Ag
_chemical_formula_sum 'Cu8 Ag2'
_space_group_name_H-M_alt 'P 1'
_space_group_IT_number 1
_cell_length_a 7.017
_cell_length_b 7.017
_cell_length_c 7.323
_cell_angle_alpha 105.52
_cell_angle_beta 105.52
_cell_angle_gamma 22.14
loop_
_space_group_symop_operation_xyz
'x,y,z'
loop_
_atom_site_label
_atom_site_type_symbol
_atom_site_fract_x
_atom_site_fract_y
_atom_site_fract_z
_atom_site_occupancy
Cu1 Cu 0.000 0.000 0.000 1
Cu2 Cu 0.000 0.000 0.500 1
Cu3 Cu 0.200 0.200 0.116 1
Cu4 Cu 0.202 0.202 0.589 1
Cu5 Cu 0.399 0.399 0.698 1
Cu6 Cu 0.601 0.601 0.302 1
Cu7 Cu 0.798 0.798 0.411 1
Cu8 Cu 0.800 0.800 0.884 1
Ag1 Ag 0.397 0.397 0.197 1
Ag2 Ag 0.603 0.603 0.803 1
```

***

The following is a theoretical powder diffractogram of Mg2Te2AuF2. It was derived from a cell relaxed with PBE, using Cu Kα.
Peak positions follow from Bragg's law for the DFT cell and can differ from measured ones.

Principal peaks in the range 2θ from 10° to 90°, sorted by position:
- 2θ = 24.4°, intensity 28
- 2θ = 26.0°, intensity 100
- 2θ = 30.4°, intensity 58
- 2θ = 36.7°, intensity 43
- 2θ = 39.3°, intensity 82
- 2θ = 44.2°, intensity 24
- 2θ = 44.6°, intensity 28
- 2θ = 49.9°, intensity 30
- 2θ = 57.1°, intensity 23
- 2θ = 63.5°, intensity 17

Crystal structure
```
data_Mg2Te2AuF2
_chemical_formula_sum 'Mg2 Te2 Au1 F2'
_space_group_name_H-M_alt 'P 1'
_space_group_IT_number 1
_cell_length_a 3.654
_cell_length_b 3.654
_cell_length_c 9.891
_cell_angle_alpha 90.00
_cell_angle_beta 90.00
_cell_angle_gamma 90.00
loop_
_space_group_symop_operation_xyz
'x,y,z'
loop_
_atom_site_label
_atom_site_type_symbol
_atom_site_fract_x
_atom_site_fract_y
_atom_site_fract_z
_atom_site_occupancy
Mg1 Mg 0.000 0.500 0.115 1
Mg2 Mg 0.500 0.000 0.885 1
Te1 Te 0.000 0.500 0.708 1
Te2 Te 0.500 0.000 0.292 1
Au1 Au 0.000 0.000 0.500 1
F1 F 0.000 0.000 0.000 1
F2 F 0.500 0.500 0.000 1
```

***

The following is a theoretical powder diffractogram of La2NdZn2Si4Ag2. It was derived from a cell relaxed with PBE, using Cu Kα.
Peak positions follow from Bragg's law for the DFT cell and can differ from measured ones.

Principal peaks in the range 2θ from 10° to 90°, sorted by position:
- 2θ = 23.1°, intensity 17
- 2θ = 27.5°, intensity 14
- 2θ = 32.6°, intensity 36
- 2θ = 32.8°, intensity 100
- 2θ = 38.1°, intensity 16
- 2θ = 41.7°, intensity 22
- 2θ = 42.9°, intensity 20
- 2θ = 44.5°, intensity 18
- 2θ = 53.9°, intensity 17
- 2θ = 61.4°, intensity 13

Crystal structure
```
data_La2NdZn2Si4Ag2
_chemical_formula_sum 'La2 Nd1 Zn2 Si4 Ag2'
_space_group_name_H-M_alt 'P 1'
_space_group_IT_number 1
_cell_length_a 13.056
_cell_length_b 13.056
_cell_length_c 13.056
_cell_angle_alpha 161.41
_cell_angle_beta 160.92
_cell_angle_gamma 26.76
loop_
_space_group_symop_operation_xyz
'x,y,z'
loop_
_atom_site_label
_atom_site_type_symbol
_atom_site_fract_x
_atom_site_fract_y
_atom_site_fract_z
_atom_site_occupancy
La1 La 0.149 0.149 0.000 1
La2 La 0.851 0.851 0.000 1
Nd1 Nd 0.500 0.000 0.500 1
Zn1 Zn 0.250 0.750 0.500 1
Zn2 Zn 0.750 0.250 0.500 1
Si1 Si 0.046 0.546 0.500 1
Si2 Si 0.306 0.306 0.000 1
Si3 Si 0.694 0.694 0.000 1
Si4 Si 0.954 0.454 0.500 1
Ag1 Ag 0.405 0.405 0.000 1
Ag2 Ag 0.595 0.595 0.000 1
```

***

The following is a theoretical powder diffractogram of Sr8In4Au3N5. It was derived from a cell relaxed with PBE, using Cu Kα.
Peak positions follow from Bragg's law for the DFT cell and can differ from measured ones.

Principal peaks in the range 2θ from 10° to 90°, sorted by position:
- 2θ = 13.7°, intensity 29
- 2θ = 30.8°, intensity 100
- 2θ = 31.5°, intensity 90
- 2θ = 32.8°, intensity 93
- 2θ = 42.0°, intensity 22
- 2θ = 46.0°, intensity 20
- 2θ = 48.2°, intensity 17
- 2θ = 54.3°, intensity 37
- 2θ = 56.9°, intensity 34
- 2θ = 58.3°, intensity 24

Crystal structure
```
data_Sr8In4Au3N5
_chemical_formula_sum 'Sr8 In4 Au3 N5'
_space_group_name_H-M_alt 'P 1'
_space_group_IT_number 1
_cell_length_a 11.604
_cell_length_b 11.604
_cell_length_c 11.604
_cell_angle_alpha 160.44
_cell_angle_beta 112.38
_cell_angle_gamma 71.16
loop_
_space_group_symop_operation_xyz
'x,y,z'
loop_
_atom_site_label
_atom_site_type_symbol
_atom_site_fract_x
_atom_site_fract_y
_atom_site_fract_z
_atom_site_occupancy
Sr1 Sr 0.061 0.211 0.850 1
Sr2 Sr 0.247 0.402 0.846 1
Sr3 Sr 0.361 0.211 0.150 1
Sr4 Sr 0.444 0.598 0.846 1
Sr5 Sr 0.556 0.402 0.154 1
Sr6 Sr 0.639 0.789 0.850 1
Sr7 Sr 0.753 0.598 0.154 1
Sr8 Sr 0.939 0.789 0.150 1
In1 In 0.084 0.584 0.500 1
In2 In 0.151 0.000 0.151 1
In3 In 0.849 0.000 0.849 1
In4 In 0.916 0.416 0.500 1
Au1 Au 0.308 0.808 0.500 1
Au2 Au 0.500 0.000 0.500 1
Au3 Au 0.692 0.192 0.500 1
N1 N 0.144 0.806 0.338 1
N2 N 0.469 0.806 0.662 1
N3 N 0.500 0.500 0.000 1
N4 N 0.531 0.194 0.338 1
N5 N 0.856 0.194 0.662 1
```

***

The following is a theoretical powder diffractogram of Na2ZnPtO4. It was derived from a cell relaxed with PBE, using Cu Kα.
Peak positions follow from Bragg's law for the DFT cell and can differ from measured ones.

Principal peaks in the range 2θ from 10° to 90°, sorted by position:
- 2θ = 19.9°, intensity 14
- 2θ = 22.5°, intensity 100
- 2θ = 35.1°, intensity 62
- 2θ = 36.4°, intensity 21
- 2θ = 40.4°, intensity 22
- 2θ = 40.8°, intensity 23
- 2θ = 40.9°, intensity 23
- 2θ = 47.1°, intensity 29
- 2θ = 58.8°, intensity 14
- 2θ = 59.1°, intensity 14

Crystal structure
```
data_Na2ZnPtO4
_chemical_formula_sum 'Na4 Zn2 Pt2 O8'
_space_group_name_H-M_alt 'P 1'
_space_group_IT_number 1
_cell_length_a 4.425
_cell_length_b 4.412
_cell_length_c 9.959
_cell_angle_alpha 90.00
_cell_angle_beta 116.33
_cell_angle_gamma 90.00
loop_
_space_group_symop_operation_xyz
'x,y,z'
loop_
_atom_site_label
_atom_site_type_symbol
_atom_site_fract_x
_atom_site_fract_y
_atom_site_fract_z
_atom_site_occupancy
Na1 Na 0.000 0.248 0.000 1
Na2 Na 0.000 0.752 0.500 1
Na3 Na 0.250 0.249 0.749 1
Na4 Na 0.250 0.751 0.249 1
Zn1 Zn 0.501 0.251 0.499 1
Zn2 Zn 0.501 0.749 0.999 1
Pt1 Pt 0.749 0.251 0.250 1
Pt2 Pt 0.749 0.749 0.750 1
O1 O 0.274 0.251 0.275 1
O2 O 0.274 0.749 0.775 1
O3 O 0.527 0.250 0.027 1
O4 O 0.527 0.750 0.527 1
O5 O 0.726 0.249 0.724 1
O6 O 0.726 0.751 0.224 1
O7 O 0.972 0.252 0.473 1
O8 O 0.972 0.748 0.973 1
```

***

The following is a theoretical powder diffractogram of Tb2ScAs3. It was derived from a cell relaxed with PBE, using Cu Kα.
Peak positions follow from Bragg's law for the DFT cell and can differ from measured ones.

Principal peaks in the range 2θ from 10° to 90°, sorted by position:
- 2θ = 27.0°, intensity 16
- 2θ = 31.3°, intensity 100
- 2θ = 37.4°, intensity 6
- 2θ = 44.8°, intensity 36
- 2θ = 44.9°, intensity 35
- 2θ = 55.6°, intensity 19
- 2θ = 65.2°, intensity 11
- 2θ = 74.0°, intensity 16
- 2θ = 74.2°, intensity 14
- 2θ = 82.6°, intensity 18

Crystal structure
```
data_Tb2ScAs3
_chemical_formula_sum 'Tb2 Sc1 As3'
_space_group_name_H-M_alt 'P 1'
_space_group_IT_number 1
_cell_length_a 4.050
_cell_length_b 4.050
_cell_length_c 9.887
_cell_angle_alpha 90.00
_cell_angle_beta 90.00
_cell_angle_gamma 120.00
loop_
_space_group_symop_operation_xyz
'x,y,z'
loop_
_atom_site_label
_atom_site_type_symbol
_atom_site_fract_x
_atom_site_fract_y
_atom_site_fract_z
_atom_site_occupancy
Tb1 Tb 0.333 0.667 0.327 1
Tb2 Tb 0.667 0.333 0.673 1
Sc1 Sc 0.000 0.000 0.000 1
As1 As 0.000 0.000 0.500 1
As2 As 0.333 0.667 0.847 1
As3 As 0.667 0.333 0.153 1
```

***

The following is a theoretical powder diffractogram of NaNbCl6. It was derived from a cell relaxed with PBE, using Cu Kα.
Peak positions follow from Bragg's law for the DFT cell and can differ from measured ones.

Principal peaks in the range 2θ from 10° to 90°, sorted by position:
- 2θ = 15.9°, intensity 100
- 2θ = 16.5°, intensity 44
- 2θ = 16.7°, intensity 50
- 2θ = 18.6°, intensity 27
- 2θ = 18.9°, intensity 55
- 2θ = 30.9°, intensity 44
- 2θ = 31.5°, intensity 46
- 2θ = 32.0°, intensity 48
- 2θ = 38.3°, intensity 26
- 2θ = 42.7°, intensity 23

Crystal structure
```
data_NaNbCl6
_chemical_formula_sum 'Na4 Nb4 Cl24'
_space_group_name_H-M_alt 'P 1'
_space_group_IT_number 1
_cell_length_a 6.431
_cell_length_b 6.871
_cell_length_c 19.085
_cell_angle_alpha 90.00
_cell_angle_beta 90.74
_cell_angle_gamma 90.00
loop_
_space_group_symop_operation_xyz
'x,y,z'
loop_
_atom_site_label
_atom_site_type_symbol
_atom_site_fract_x
_atom_site_fract_y
_atom_site_fract_z
_atom_site_occupancy
Na1 Na 0.208 0.191 0.251 1
Na2 Na 0.208 0.309 0.751 1
Na3 Na 0.792 0.691 0.249 1
Na4 Na 0.792 0.809 0.749 1
Nb1 Nb 0.257 0.716 0.612 1
Nb2 Nb 0.257 0.784 0.112 1
Nb3 Nb 0.743 0.216 0.888 1
Nb4 Nb 0.743 0.284 0.388 1
Cl1 Cl 0.047 0.036 0.846 1
Cl2 Cl 0.047 0.464 0.346 1
Cl3 Cl 0.076 0.007 0.654 1
Cl4 Cl 0.076 0.493 0.154 1
Cl5 Cl 0.109 0.747 0.003 1
Cl6 Cl 0.109 0.753 0.503 1
Cl7 Cl 0.380 0.686 0.737 1
Cl8 Cl 0.380 0.814 0.237 1
Cl9 Cl 0.414 0.080 0.090 1
Cl10 Cl 0.414 0.420 0.590 1
Cl11 Cl 0.450 0.101 0.410 1
Cl12 Cl 0.450 0.399 0.910 1
Cl13 Cl 0.550 0.601 0.090 1
Cl14 Cl 0.550 0.899 0.590 1
Cl15 Cl 0.586 0.580 0.410 1
Cl16 Cl 0.586 0.920 0.910 1
Cl17 Cl 0.620 0.186 0.763 1
Cl18 Cl 0.620 0.314 0.263 1
Cl19 Cl 0.891 0.247 0.497 1
Cl20 Cl 0.891 0.253 0.997 1
Cl21 Cl 0.924 0.507 0.846 1
Cl22 Cl 0.924 0.993 0.346 1
Cl23 Cl 0.953 0.536 0.654 1
Cl24 Cl 0.953 0.964 0.154 1
```

***

The following is a theoretical powder diffractogram of Dy2YTc. It was derived from a cell relaxed with PBE, using Cu Kα.
Peak positions follow from Bragg's law for the DFT cell and can differ from measured ones.

Principal peaks in the range 2θ from 10° to 90°, sorted by position:
- 2θ = 14.9°, intensity 35
- 2θ = 31.0°, intensity 73
- 2θ = 32.1°, intensity 82
- 2θ = 33.1°, intensity 100
- 2θ = 33.6°, intensity 78
- 2θ = 36.1°, intensity 40
- 2θ = 38.2°, intensity 85
- 2θ = 46.3°, intensity 36
- 2θ = 54.3°, intensity 26
- 2θ = 58.1°, intensity 40

Crystal structure
```
data_Dy2YTc
_chemical_formula_sum 'Dy4 Y2 Tc2'
_space_group_name_H-M_alt 'P 1'
_space_group_IT_number 1
_cell_length_a 6.249
_cell_length_b 6.249
_cell_length_c 9.139
_cell_angle_alpha 90.00
_cell_angle_beta 90.00
_cell_angle_gamma 143.45
loop_
_space_group_symop_operation_xyz
'x,y,z'
loop_
_atom_site_label
_atom_site_type_symbol
_atom_site_fract_x
_atom_site_fract_y
_atom_site_fract_z
_atom_site_occupancy
Dy1 Dy 0.144 0.856 0.566 1
Dy2 Dy 0.144 0.856 0.934 1
Dy3 Dy 0.856 0.144 0.066 1
Dy4 Dy 0.856 0.144 0.434 1
Y1 Y 0.428 0.572 0.750 1
Y2 Y 0.572 0.428 0.250 1
Tc1 Tc 0.241 0.759 0.250 1
Tc2 Tc 0.759 0.241 0.750 1
```